Structure and computed powder X-ray diffraction pattern of Tm2Ga5Pd (a structure optimized by DFT (PBE); Cu Kα (λ = 1.5418 Å)).
Lines closer than 0.1° are merged.

Atomic structure:
a b c (Å): 5.9472 5.9472 8.4198
angles (deg): 90.00 90.00 90.00
Space group I4mm (No. 107)
Symmetry-distinct sites (fractional):
Tm (0.0000, 0.5000, 0.0000) [4 per cell]
Ga (0.0000, 0.0000, 0.0017) [2 per cell]
Ga (0.2492, 0.2492, 0.7500) [8 per cell]
Pd (0.0000, 0.0000, 0.4984) [2 per cell]

Principal peaks in the range 15 to 90 degrees two-theta, low angle first:
| 2θ/deg | I/Imax |
| --- | --- |
| 21.11 | 15 |
| 30.04 | 13 |
| 37.01 | 100 |
| 43.00 | 49 |
| 48.38 | 7 |
| 53.34 | 5 |
| 62.44 | 32 |
| 66.70 | 4 |
| 74.86 | 37 |
| 78.81 | 11 |

=====

Structure and computed powder X-ray diffraction pattern of CdCuSb2 (a structure optimized by DFT (PBE); Cu Kα (λ = 1.5418 Å)).
Lines closer than 0.1° are merged.

Atomic structure:
a b c (Å): 5.1002 6.8635 12.6969
angles (deg): 90.00 113.63 90.00
Space group P2/c (No. 13)
Symmetry-distinct sites (fractional):
Cd (0.1671, 0.0521, 0.1647) [4 per cell]
Cu (0.3992, 0.4305, 0.8991) [4 per cell]
Sb (0.1722, 0.3732, 0.6725) [4 per cell]
Sb (0.4251, 0.1786, 0.4285) [4 per cell]

Principal peaks in the range 15 to 90 degrees two-theta, low angle first:
| 2θ/deg | I/Imax |
| --- | --- |
| 26.63 | 34 |
| 27.09 | 100 |
| 28.93 | 84 |
| 30.75 | 23 |
| 35.19 | 79 |
| 42.72 | 38 |
| 44.08 | 35 |
| 44.53 | 84 |
| 44.97 | 50 |
| 69.68 | 19 |